1.
Li3Co4O8: simulated powder diffraction line list (λ = 1.5418 Å (Cu Kα)), based on a PBE+U-relaxed structure.

Most intense lines, 2θ = 15–90°, in order of rising 2θ:
d = 4.911 Å, intensity 100, hkl 0 0 1; d = 2.507 Å, intensity 39, hkl 2 2 0; d = 2.410 Å, intensity 8, hkl 2 2 -1; d = 2.098 Å, intensity 22, hkl 4 0 -2; d = 2.091 Å, intensity 43, hkl 2 2 1; d = 1.930 Å, intensity 8, hkl 2 2 -2; d = 1.619 Å, intensity 9, hkl 2 2 2; d = 1.495 Å, intensity 11, hkl 2 2 -3; d = 1.468 Å, intensity 12, hkl 6 2 -1; d = 1.409 Å, intensity 10, hkl 6 2 -2

Atomic structure:
Cell: 10.161 5.886 5.207 Å, 90.00 109.41 90.00°
Space group C2/m (No. 12)
Inequivalent atoms, fractional coordinates:
Li: 0.000 0.000 0.000 [2 per cell]
Li: 0.250 0.250 0.000 [4 per cell]
Co: 0.000 0.253 0.500 [4 per cell]
Co: 0.244 0.500 0.479 [4 per cell]
O: 0.123 0.000 0.735 [4 per cell]
O: 0.125 0.500 0.714 [4 per cell]
O: 0.133 0.238 0.287 [8 per cell]

---

2.
Li8Co5O10: simulated powder diffraction line list (λ = 1.5418 Å (Cu Kα)), based on a PBE+U-relaxed structure.

Most intense lines, 2θ = 15–90°, in order of rising 2θ:
d = 4.832 Å, intensity 42, hkl 2 0 0; d = 3.395 Å, intensity 100, hkl 1 1 0; d = 2.744 Å, intensity 12, hkl 0 0 5; d = 2.145 Å, intensity 16, hkl 2 0 5; d = 2.134 Å, intensity 16, hkl 4 0 -5; d = 2.040 Å, intensity 11, hkl 1 1 5; d = 2.034 Å, intensity 11, hkl 3 1 -5; d = 1.813 Å, intensity 11, hkl 0 2 0; d = 1.648 Å, intensity 14, hkl 3 1 5; d = 1.642 Å, intensity 14, hkl 5 1 -5

Atomic structure:
Cell: 10.066 3.625 14.311 Å, 90.00 106.23 90.00°
Space group C2/m (No. 12)
Inequivalent atoms, fractional coordinates:
Li: 0.209 0.000 0.046 [4 per cell]
Li: 0.210 0.000 0.441 [4 per cell]
Li: 0.224 0.000 0.835 [4 per cell]
Li: 0.227 0.000 0.658 [4 per cell]
Co: 0.000 0.500 0.500 [2 per cell]
Co: 0.001 0.500 0.102 [4 per cell]
Co: 0.007 0.500 0.705 [4 per cell]
O: 0.127 0.500 0.224 [4 per cell]
O: 0.134 0.500 0.029 [4 per cell]
O: 0.136 0.500 0.432 [4 per cell]
O: 0.137 0.500 0.619 [4 per cell]
O: 0.142 0.500 0.834 [4 per cell]

---

3.
Li5Co8O16: simulated powder diffraction line list (λ = 1.5418 Å (Cu Kα)), based on a PBE+U-relaxed structure.

Most intense lines, 2θ = 15–90°, in order of rising 2θ:
d = 4.927 Å, intensity 100, hkl 0 0 2; d = 2.414 Å, intensity 15, hkl 2 -2 1; d = 2.407 Å, intensity 8, hkl 0 4 1; d = 2.321 Å, intensity 21, hkl 2 2 2; d = 2.044 Å, intensity 7, hkl 2 2 -2; d = 2.038 Å, intensity 7, hkl 2 -2 3; d = 2.034 Å, intensity 7, hkl 0 4 3; d = 1.884 Å, intensity 23, hkl 2 2 4; d = 1.475 Å, intensity 6, hkl 0 4 -5; d = 1.355 Å, intensity 6, hkl 2 -6 2

Atomic structure:
Cell: 5.655 9.762 9.984 Å, 85.47 81.99 89.91°
Space group P1 (No. 1)
Inequivalent atoms, fractional coordinates:
Li: 0.000 0.000 0.000 [1 per cell]
Li: 0.000 0.496 0.994 [1 per cell]
Li: 0.268 0.731 0.003 [1 per cell]
Li: 0.370 0.273 0.490 [1 per cell]
Li: 0.374 0.799 0.487 [1 per cell]
Li: 0.501 0.000 0.999 [1 per cell]
Li: 0.624 0.541 0.494 [1 per cell]
Li: 0.728 0.261 0.998 [1 per cell]
Li: 0.879 0.802 0.492 [1 per cell]
Li: 0.885 0.272 0.489 [1 per cell]
Co: 0.064 0.019 0.737 [1 per cell]
Co: 0.066 0.517 0.737 [1 per cell]
Co: 0.188 0.892 0.246 [1 per cell]
Co: 0.189 0.394 0.242 [1 per cell]
Co: 0.312 0.268 0.752 [1 per cell]
Co: 0.317 0.765 0.745 [1 per cell]
Co: 0.438 0.141 0.246 [1 per cell]
Co: 0.439 0.643 0.244 [1 per cell]
Co: 0.564 0.517 0.751 [1 per cell]
Co: 0.567 0.019 0.740 [1 per cell]
Co: 0.688 0.394 0.243 [1 per cell]
Co: 0.689 0.892 0.242 [1 per cell]
Co: 0.812 0.766 0.752 [1 per cell]
Co: 0.816 0.267 0.744 [1 per cell]
Co: 0.938 0.643 0.247 [1 per cell]
Co: 0.939 0.142 0.244 [1 per cell]
O: 0.036 0.172 0.846 [1 per cell]
O: 0.049 0.672 0.847 [1 per cell]
O: 0.090 0.856 0.643 [1 per cell]
O: 0.094 0.351 0.640 [1 per cell]
O: 0.163 0.222 0.345 [1 per cell]
O: 0.164 0.722 0.349 [1 per cell]
O: 0.209 0.568 0.143 [1 per cell]
O: 0.214 0.064 0.142 [1 per cell]
O: 0.285 0.425 0.843 [1 per cell]
O: 0.287 0.927 0.847 [1 per cell]
O: 0.337 0.113 0.645 [1 per cell]
O: 0.347 0.612 0.642 [1 per cell]
O: 0.413 0.965 0.343 [1 per cell]
O: 0.415 0.466 0.346 [1 per cell]
O: 0.457 0.818 0.141 [1 per cell]
O: 0.464 0.318 0.146 [1 per cell]
O: 0.531 0.678 0.848 [1 per cell]
O: 0.542 0.176 0.848 [1 per cell]
O: 0.587 0.358 0.642 [1 per cell]
O: 0.589 0.856 0.644 [1 per cell]
O: 0.660 0.718 0.351 [1 per cell]
O: 0.664 0.221 0.347 [1 per cell]
O: 0.715 0.069 0.137 [1 per cell]
O: 0.717 0.565 0.147 [1 per cell]
O: 0.794 0.933 0.844 [1 per cell]
O: 0.797 0.424 0.847 [1 per cell]
O: 0.832 0.612 0.645 [1 per cell]
O: 0.841 0.110 0.641 [1 per cell]
O: 0.911 0.464 0.347 [1 per cell]
O: 0.915 0.966 0.342 [1 per cell]
O: 0.961 0.320 0.141 [1 per cell]
O: 0.972 0.818 0.142 [1 per cell]

---

4.
Li7Co2O6: simulated powder diffraction line list (λ = 1.5418 Å (Cu Kα)), based on a PBE+U-relaxed structure.

Most intense lines, 2θ = 15–90°, in order of rising 2θ:
d = 3.912 Å, intensity 31, hkl 2 1 0; d = 3.440 Å, intensity 100, hkl 1 0 1; d = 3.201 Å, intensity 31, hkl 1 1 1; d = 2.224 Å, intensity 16, hkl 3 1 1; d = 2.187 Å, intensity 36, hkl 4 0 0; d = 1.870 Å, intensity 14, hkl 0 0 2; d = 1.846 Å, intensity 19, hkl 4 1 1; d = 1.585 Å, intensity 24, hkl 5 0 1; d = 1.421 Å, intensity 16, hkl 4 0 2; d = 1.283 Å, intensity 14, hkl 5 4 1

Atomic structure:
Cell: 8.748 8.748 3.741 Å, 90.00 90.00 90.00°
Space group P-4n2 (No. 118)
Inequivalent atoms, fractional coordinates:
Li: 0.000 0.000 0.000 [2 per cell]
Li: 0.112 0.175 0.288 [8 per cell]
Li: 0.156 0.344 0.750 [4 per cell]
Co: 0.116 0.616 0.250 [4 per cell]
O: 0.101 0.399 0.250 [4 per cell]
O: 0.115 0.830 0.220 [8 per cell]

---

5.
Li2CoO3: simulated powder diffraction line list (λ = 1.5418 Å (Cu Kα)), based on a PBE+U-relaxed structure.

Most intense lines, 2θ = 15–90°, in order of rising 2θ:
d = 4.755 Å, intensity 100, hkl 0 0 1; d = 4.238 Å, intensity 22, hkl 0 2 0; d = 4.081 Å, intensity 30, hkl 1 1 0; d = 3.672 Å, intensity 23, hkl 1 1 -1; d = 3.164 Å, intensity 17, hkl 0 2 1; d = 2.415 Å, intensity 22, hkl 1 3 0; d = 2.037 Å, intensity 34, hkl 2 0 -2; d = 2.017 Å, intensity 59, hkl 1 3 1; d = 1.445 Å, intensity 16, hkl 1 3 -3; d = 1.422 Å, intensity 15, hkl 3 3 -1

Atomic structure:
Cell: 4.939 8.475 5.043 Å, 90.00 109.47 90.00°
Space group C2/m (No. 12)
Inequivalent atoms, fractional coordinates:
Li: 0.000 0.000 0.000 [2 per cell]
Li: 0.000 0.161 0.500 [4 per cell]
Li: 0.000 0.500 0.500 [2 per cell]
Co: 0.000 0.330 0.000 [4 per cell]
O: 0.215 0.500 0.224 [4 per cell]
O: 0.250 0.182 0.222 [8 per cell]